ReAuCl: calculated powder diffractogram (λ = 1.5418 Å (Cu Kα)), based on a cell relaxed with PBE.

Structural model:
```
data_ReAuCl
_space_group_name_H-M_alt 'P 3 m 1'
_space_group_IT_number 156
_space_group_name_Hall 'P 3 -2"'
_cell_length_a 2.9528
_cell_length_b 2.9528
_cell_length_c 7.2612
_cell_angle_alpha 90.00
_cell_angle_beta 90.00
_cell_angle_gamma 120.00
loop_
_atom_site_label
_atom_site_type_symbol
_atom_site_fract_x
_atom_site_fract_y
_atom_site_fract_z
Re1 Re 0.0000 0.0000 0.0000
Au1 Au 0.6667 0.3333 0.3070
Cl1 Cl 0.3333 0.6667 0.7549
```

Most intense lines, 10 to 80 degrees two-theta, sorted by position:
(0 0 1), 12.2°, d = 7.261 Å, I 86; (1 0 0), 35.1°, d = 2.557 Å, I 15; (0 0 3), 37.1°, d = 2.420 Å, I 23; (1 0 1), 37.3°, d = 2.412 Å, I 100; (0 1 2), 43.3°, d = 2.091 Å, I 73; (0 1 3), 52.0°, d = 1.758 Å, I 19; (1 0 4), 62.8°, d = 1.480 Å, I 15; (1 1 0), 63.0°, d = 1.476 Å, I 20; (1 0 5), 75.2°, d = 1.263 Å, I 15; (0 2 1), 75.5°, d = 1.260 Å, I 31